Theoretical powder X-ray diffraction pattern of RbNp2AuSe5 for Cu Kα (weighted mean of Kα1 and Kα2), from a structure optimized by DFT (PBE).
Intensities are scaled so that the largest is 100.

The 12 most intense peaks (15° ≤ 2θ ≤ 90°), low angle first:
(1 1 0), 15.9 deg, 5.589 Å, I 38; (0 0 4), 23.0 deg, 3.868 Å, I 27; (2 0 2), 25.3 deg, 3.520 Å, I 53; (2 1 3), 30.7 deg, 2.916 Å, I 100; (2 2 0), 32.0 deg, 2.795 Å, I 20; (3 1 0), 35.9 deg, 2.500 Å, I 21; (3 1 2), 37.8 deg, 2.378 Å, I 49; (2 1 5), 38.7 deg, 2.328 Å, I 70; (2 2 4), 39.8 deg, 2.265 Å, I 18; (0 0 8), 47.0 deg, 1.934 Å, I 20; (4 0 2), 47.5 deg, 1.915 Å, I 18; (3 1 6), 50.8 deg, 1.796 Å, I 29

Cell and atoms:
Lattice parameters (Å, degrees): 7.904 7.904 15.474 90.00 90.00 90.00
Space group I4/mcm (No. 140)
Unique sites:
1 Rb 0.000 0.000 0.250
2 Np 0.159 0.341 0.000
3 Au 0.000 0.500 0.250
4 Se 0.000 0.000 0.000
5 Se 0.146 0.354 0.383

=====

Theoretical powder X-ray diffraction pattern of RbNpTe2Au for Cu Kα (weighted mean of Kα1 and Kα2), from a structure optimized by DFT (PBE).
Intensities are scaled so that the largest is 100.

The 12 most intense peaks (15° ≤ 2θ ≤ 90°), low angle first:
(0 4 0), 20.5 deg, 4.327 Å, I 33; (1 3 1), 25.4 deg, 3.511 Å, I 77; (0 2 2), 30.5 deg, 2.930 Å, I 97; (2 0 1), 31.9 deg, 2.806 Å, I 60; (1 5 1), 32.9 deg, 2.726 Å, I 43; (2 2 1), 33.6 deg, 2.669 Å, I 100; (0 4 2), 35.5 deg, 2.527 Å, I 84; (2 4 1), 38.2 deg, 2.354 Å, I 75; (0 8 0), 41.8 deg, 2.163 Å, I 45; (0 6 2), 42.7 deg, 2.116 Å, I 36; (2 6 1), 45.1 deg, 2.011 Å, I 45; (2 8 1), 53.5 deg, 1.713 Å, I 39

Cell and atoms:
Lattice parameters (Å, degrees): 6.287 17.307 6.227 90.00 90.00 90.00
Space group Cmme (No. 67)
Unique sites:
1 Rb 0.000 0.250 0.239
2 Np 0.250 0.000 0.500
3 Te 0.000 0.126 0.749
4 Au 0.000 0.000 0.000